This entry pairs a crystal structure of AsSBr2F with its theoretical powder X-ray diffraction pattern. Radiation: Cu Kα. Structure: a structure optimized by DFT (PBE).

Most intense lines, 10° ≤ 2θ ≤ 80°, low angle first:
two_theta	Rel. int.	index
17.21	22	0 0 1
17.98	32	1 0 0
30.96	100	1 1 1
34.82	30	0 0 2
36.43	53	2 0 0
51.27	38	2 0 2
52.47	18	2 2 0
60.03	14	1 1 3
62.17	26	3 1 1
64.52	19	2 2 2

Atomic structure:
```
AsSBr2F
1.0
4.933 0.000 0.000
0.000 4.933 0.000
0.000 0.000 5.154
As S Br F
1 1 2 1
direct
0.000 0.000 0.000
0.000 0.000 0.500
0.000 0.500 0.500
0.500 0.000 0.500
0.500 0.500 0.000
```